# Hf3Re2Au
Simulated powder XRD pattern, λ = 1.5418 Å (Cu Kα). Input: the PBE geometry in Alexandria.
Lines closer than 0.1° are merged.

Peak list (6 most intense, 2θ = 5–70°, sorted by position)
(1 1 0), 2θ = 38.3°, I 1000
(1 1 4), 2θ = 53.7°, I 7
(2 0 0), 2θ = 55.3°, I 119
(0 0 6), 2θ = 55.5°, I 53
(2 1 3), 2θ = 69.3°, I 237
(1 1 6), 2θ = 69.4°, I 109

Structure:
Unit cell a=3.3239 b=3.3239 c=9.9396 alpha=90.00 beta=90.00 gamma=90.00
Space group P4/mmm (No. 123)
Symmetry-distinct sites (fractional):
1 Hf 0.0000 0.0000 0.0000
2 Hf 0.0000 0.0000 0.3186
3 Re 0.5000 0.5000 0.1676
4 Au 0.5000 0.5000 0.5000